(1)
Structure and simulated powder diffractogram of Ho2PaS2N2 (a GGA-PBE-relaxed structure; Cu Kα X-rays).

The 6 most intense peaks (2θ = 5–70°), low angle first:
2θ/deg, d (Å), I_rel, (hkl)
27.78, 3.212, 100, 1 0 3
29.19, 3.060, 99, 1 1 0
37.55, 2.395, 84, 1 0 5
41.75, 2.164, 45, 2 0 0
50.87, 1.795, 48, 0 0 8
57.39, 1.606, 53, 2 1 5

Structure:
```
data_Ho2PaS2N2
_cell_length_a 4.327
_cell_length_b 4.327
_cell_length_c 14.377
_cell_angle_alpha 90.00
_cell_angle_beta 90.00
_cell_angle_gamma 90.00
_symmetry_space_group_name_H-M 'I 4/m m m'
_symmetry_Int_Tables_number 139
_symmetry_space_group_name_Hall '-I 4 2'
loop_
_atom_site_label
_atom_site_fract_x
_atom_site_fract_y
_atom_site_fract_z
_atom_site_occupancy
Ho1 0.000 0.000 0.126 1
Pa1 0.000 0.000 0.500 1
S1 0.000 0.000 0.313 1
N1 0.000 0.500 0.000 1
```

(2)
Structure and simulated powder diffractogram of La4AsS2Cl (a GGA-PBE-relaxed structure; Cu Kα X-rays).

The 6 most intense peaks (2θ = 5–70°), low angle first:
2θ/deg, d (Å), I_rel, (hkl)
25.89, 3.441, 48, 1 1 2
29.98, 2.980, 100, 2 0 0
42.92, 2.107, 73, 2 2 0
50.80, 1.797, 24, 3 1 2
53.24, 1.721, 26, 2 2 4
68.64, 1.367, 10, 3 3 2

Structure:
```
data_La4AsS2Cl
_cell_length_a 5.956
_cell_length_b 5.956
_cell_length_c 11.938
_cell_angle_alpha 90.00
_cell_angle_beta 90.00
_cell_angle_gamma 90.00
_symmetry_space_group_name_H-M 'I 4/m m m'
_symmetry_Int_Tables_number 139
_symmetry_space_group_name_Hall '-I 4 2'
loop_
_atom_site_label
_atom_site_fract_x
_atom_site_fract_y
_atom_site_fract_z
_atom_site_occupancy
La1 0.000 0.000 0.247 1
La2 0.000 0.500 0.000 1
As1 0.000 0.000 0.000 1
S1 0.000 0.500 0.250 1
Cl1 0.000 0.000 0.500 1
```

(3)
Structure and simulated powder diffractogram of Cr3Mo (a GGA-PBE-relaxed structure; Cu Kα X-rays).

The 6 most intense peaks (2θ = 5–70°), low angle first:
2θ/deg, d (Å), I_rel, (hkl)
21.45, 4.142, 18, 1 1 0
37.01, 2.429, 5, 1 0 1
37.62, 2.391, 4, 3 0 0
43.17, 2.095, 100, 0 2 1
43.71, 2.071, 96, 2 2 0
63.12, 1.473, 29, 4 0 1

Structure:
```
data_Cr3Mo
_cell_length_a 8.2835
_cell_length_b 8.2835
_cell_length_c 2.5817
_cell_angle_alpha 90.00
_cell_angle_beta 90.00
_cell_angle_gamma 120.00
_symmetry_space_group_name_H-M 'R -3 m'
_symmetry_Int_Tables_number 166
_symmetry_space_group_name_Hall '-R 3 2"'
loop_
_atom_site_label
_atom_site_fract_x
_atom_site_fract_y
_atom_site_fract_z
_atom_site_occupancy
Cr1 0.0000 0.5000 0.0000 1
Mo1 0.0000 0.0000 0.0000 1
```

(4)
Structure and simulated powder diffractogram of NaLi3Te (a GGA-PBE-relaxed structure; Cu Kα X-rays).

The 6 most intense peaks (2θ = 5–70°), low angle first:
2θ/deg, d (Å), I_rel, (hkl)
16.59, 5.343, 61, 1 0 0
23.55, 3.778, 100, 1 1 0
33.54, 2.672, 26, 2 0 0
37.64, 2.390, 31, 2 1 0
41.39, 2.181, 44, 2 1 1
65.35, 1.428, 22, 3 2 1

Structure:
```
data_NaLi3Te
_cell_length_a 5.343
_cell_length_b 5.343
_cell_length_c 5.343
_cell_angle_alpha 90.00
_cell_angle_beta 90.00
_cell_angle_gamma 90.00
_symmetry_space_group_name_H-M 'P m -3 m'
_symmetry_Int_Tables_number 221
_symmetry_space_group_name_Hall '-P 4 2 3'
loop_
_atom_site_label
_atom_site_fract_x
_atom_site_fract_y
_atom_site_fract_z
_atom_site_occupancy
Na1 0.000 0.000 0.000 1
Li1 0.000 0.500 0.500 1
Te1 0.500 0.500 0.500 1
```

(5)
Structure and simulated powder diffractogram of AgP2Pd2 (a GGA-PBE-relaxed structure; Cu Kα X-rays).

The 6 most intense peaks (2θ = 5–70°), low angle first:
2θ/deg, d (Å), I_rel, (hkl)
27.77, 3.213, 44, 2 1 0
34.23, 2.619, 56, 1 1 1
38.68, 2.328, 26, 2 0 1
39.68, 2.272, 86, 3 1 0
40.74, 2.215, 100, 2 1 1
59.72, 1.548, 24, 4 0 1

Structure:
```
data_AgP2Pd2
_cell_length_a 7.184
_cell_length_b 7.184
_cell_length_c 3.057
_cell_angle_alpha 90.00
_cell_angle_beta 90.00
_cell_angle_gamma 90.00
_symmetry_space_group_name_H-M 'P 4/m b m'
_symmetry_Int_Tables_number 127
_symmetry_space_group_name_Hall '-P 4 2ab'
loop_
_atom_site_label
_atom_site_fract_x
_atom_site_fract_y
_atom_site_fract_z
_atom_site_occupancy
Ag1 0.000 0.000 0.000 1
P1 0.155 0.345 0.000 1
Pd1 0.145 0.645 0.500 1
```

(6)
Structure and simulated powder diffractogram of Pm3Nd3Tm8 (a GGA-PBE-relaxed structure; Cu Kα X-rays).

The 6 most intense peaks (2θ = 5–70°), low angle first:
2θ/deg, d (Å), I_rel, (hkl)
29.56, 3.021, 30, 1 1 4
30.68, 2.914, 33, 0 3 3
31.69, 2.824, 52, 2 0 0
31.96, 2.800, 100, 1 3 2
33.50, 2.675, 58, 1 0 5
44.69, 2.028, 24, 2 3 3

Structure:
```
data_Pm3Nd3Tm8
_cell_length_a 5.647
_cell_length_b 10.684
_cell_length_c 15.185
_cell_angle_alpha 90.00
_cell_angle_beta 90.00
_cell_angle_gamma 90.00
_symmetry_space_group_name_H-M 'I m m m'
_symmetry_Int_Tables_number 71
_symmetry_space_group_name_Hall '-I 2 2'
loop_
_atom_site_label
_atom_site_fract_x
_atom_site_fract_y
_atom_site_fract_z
_atom_site_occupancy
Pm1 0.000 0.000 0.000 1
Pm2 0.000 0.500 0.311 1
Nd1 0.000 0.000 0.500 1
Nd2 0.000 0.305 0.500 1
Tm1 0.000 0.162 0.280 1
Tm2 0.000 0.340 0.103 1
```

(7)
Structure and simulated powder diffractogram of CeY4Sc (a GGA-PBE-relaxed structure; Cu Kα X-rays).

The 6 most intense peaks (2θ = 5–70°), low angle first:
2θ/deg, d (Å), I_rel, (hkl)
30.86, 2.898, 52, 4 1 0
31.43, 2.847, 58, 0 1 3
31.53, 2.838, 21, 4 0 2
32.13, 2.786, 100, 4 1 1
33.25, 2.694, 48, 0 2 0
58.71, 1.573, 18, 4 3 1

Structure:
```
data_CeY4Sc
_cell_length_a 13.749
_cell_length_b 5.389
_cell_length_c 10.057
_cell_angle_alpha 90.00
_cell_angle_beta 90.00
_cell_angle_gamma 90.00
_symmetry_space_group_name_H-M 'P n m a'
_symmetry_Int_Tables_number 62
loop_
_symmetry_equiv_pos_as_xyz
'x,y,z'
'-x,-y,-z'
'-x+1/2,-y,z+1/2'
'x+1/2,y,-z+1/2'
'x+1/2,-y+1/2,-z+1/2'
'-x+1/2,y+1/2,z+1/2'
'-x,y+1/2,-z'
'x,-y+1/2,z'
loop_
_atom_site_label
_atom_site_fract_x
_atom_site_fract_y
_atom_site_fract_z
_atom_site_occupancy
Ce1 0.215 0.250 0.035 1
Y1 0.036 0.750 0.898 1
Y2 0.099 0.750 0.245 1
Y3 0.148 0.250 0.695 1
Y4 0.222 0.250 0.358 1
Sc1 0.020 0.750 0.571 1
```

(8)
Structure and simulated powder diffractogram of Pr2PuSb4 (a GGA-PBE-relaxed structure; Cu Kα X-rays).

The 6 most intense peaks (2θ = 5–70°), low angle first:
2θ/deg, d (Å), I_rel, (hkl)
21.72, 4.092, 20, 1 0 1
25.23, 3.529, 38, 1 0 2
32.68, 2.740, 100, 1 1 2
36.21, 2.481, 28, 1 0 4
41.53, 2.174, 33, 2 0 0
56.26, 1.635, 15, 2 1 4

Structure:
```
data_Pr2PuSb4
_cell_length_a 4.349
_cell_length_b 4.349
_cell_length_c 12.082
_cell_angle_alpha 90.00
_cell_angle_beta 90.00
_cell_angle_gamma 90.00
_symmetry_space_group_name_H-M 'P -4 m 2'
_symmetry_Int_Tables_number 115
loop_
_symmetry_equiv_pos_as_xyz
'x,y,z'
'y,-x,-z'
'-x,-y,z'
'-y,x,-z'
'-x,y,z'
'-y,-x,-z'
'x,-y,z'
'y,x,-z'
loop_
_atom_site_label
_atom_site_fract_x
_atom_site_fract_y
_atom_site_fract_z
_atom_site_occupancy
Pr1 0.000 0.500 0.210 1
Pu1 0.000 0.000 0.500 1
Sb1 0.000 0.000 0.000 1
Sb2 0.000 0.500 0.685 1
Sb3 0.500 0.500 0.000 1
```